NdPuFe2O8: theoretical powder X-ray diffraction pattern (Cu Kα (λ = 1.5418 Å)), based on the PBE+U geometry in Alexandria.

Most intense lines, 10 to 90 degrees two-theta, low angle first:
2θ (°)  d (Å)  I/Imax
18.2  4.864  62
25.3  3.519  100
31.4  2.851  20
32.1  2.788  85
36.1  2.489  24
40.7  2.215  15
49.1  1.856  67
52.0  1.760  16
61.0  1.518  16
62.4  1.488  19

Structure:
abc: 6.0078 6.0078 6.0078
angles: 108.28 108.28 111.88
Fractional coordinates of all 12 atoms:
Nd 0.0000 0.0000 0.0000
Pu 0.2500 0.7500 0.5000
Fe 0.5000 0.5000 0.0000
Fe 0.7500 0.2500 0.5000
O 0.3134 0.1095 0.7961
O 0.3134 0.5173 0.2039
O 0.3748 0.0498 0.3250
O 0.4827 0.6866 0.7961
O 0.7248 0.0498 0.6750
O 0.8905 0.6866 0.2039
O 0.9502 0.2752 0.3250
O 0.9502 0.6252 0.6750